Starting from a structure optimized by DFT (PBE), the powder X-ray diffraction pattern of AgPtCl was simulated for λ = 1.5418 Å (Cu Kα).
Kinematic intensities with the Lorentz-polarization factor, no thermal factor.

Main lines, most intense first (2θ from 10° to 90°):
39.6°, rel. 100
21.3°, rel. 38
36.1°, rel. 37
35.5°, rel. 33
33.0°, rel. 31
43.5°, rel. 29
33.1°, rel. 20
58.6°, rel. 18
44.2°, rel. 17
39.1°, rel. 16

Crystal structure
Lattice parameters (Å, degrees): 12.493 3.177 3.177 58.69 90.00 90.00
Positions (direct):
Ag: 0.000 0.000 0.000
Ag: 0.500 0.138 0.138
Pt: 0.170 0.344 0.344
Pt: 0.830 0.344 0.344
Cl: 0.332 0.808 0.808
Cl: 0.668 0.808 0.808